No. 1
This entry pairs a crystal structure of MgCr with its simulated X-ray powder pattern. Radiation: Cu Ka. Structure: a DFT-relaxed cell (GGA-PBE, Alexandria).
Intensities are scaled so that the largest is 1000.

Largest 12 diffraction maxima, low angle first, 2θ = 10–90°:
- (0 0 1), d 7.082, 2θ = 12.50°, I 1000
- (0 0 2), d 3.541, 2θ = 25.15°, I 89
- (0 0 3), d 2.361, 2θ = 38.12°, I 85
- (1 0 2), d 2.300, 2θ = 39.17°, I 694
- (1 1 0), d 2.139, 2θ = 42.26°, I 440
- (1 1 1), d 2.047, 2θ = 44.24°, I 150
- (1 0 3), d 1.861, 2θ = 48.95°, I 208
- (1 1 3), d 1.585, 2θ = 58.21°, I 90
- (2 0 0), d 1.512, 2θ = 61.30°, I 132
- (1 0 5), d 1.283, 2θ = 73.89°, I 112
- (2 1 2), d 1.263, 2θ = 75.20°, I 171
- (2 1 3), d 1.174, 2θ = 82.13°, I 77

Cell: 3.024 3.024 7.082 Å, 90.00 90.00 90.00°
Space group P4/nmm (No. 129, origin choice 2)
Asymmetric unit:
Mg 0.250 0.250 0.163
Cr 0.250 0.250 0.567

---

No. 2
This entry pairs a crystal structure of Pa2GaSe with its simulated X-ray powder pattern. Radiation: Cu Ka. Structure: a DFT-relaxed cell (GGA-PBE, Alexandria).
Intensities are scaled so that the largest is 1000.

Largest 12 diffraction maxima, low angle first, 2θ = 10–90°:
- (0 1 2), d 3.402, 2θ = 26.19°, I 355
- (0 0 6), d 3.242, 2θ = 27.51°, I 105
- (1 0 4), d 2.910, 2θ = 30.73°, I 1000
- (1 1 0), d 2.097, 2θ = 43.14°, I 401
- (0 1 8), d 2.021, 2θ = 44.86°, I 359
- (1 1 6), d 1.761, 2θ = 51.93°, I 119
- (0 2 4), d 1.701, 2θ = 53.89°, I 210
- (2 0 8), d 1.455, 2θ = 63.99°, I 126
- (2 1 4), d 1.321, 2θ = 71.40°, I 183
- (1 1 12), d 1.283, 2θ = 73.90°, I 167
- (3 0 0), d 1.211, 2θ = 79.11°, I 70
- (1 2 8), d 1.195, 2θ = 80.32°, I 134

Cell: 4.1936 4.1936 19.4533 Å, 90.00 90.00 120.00°
Space group R-3m (No. 166, hexagonal axes)
Asymmetric unit:
Pa 0.0000 0.0000 0.2495
Ga 0.0000 0.0000 0.5000
Se 0.0000 0.0000 0.0000